For HoInNi4, a crystal structure in the Materials Project, relaxed with PBE gives the calculated powder diffractogram in this record (copper Kα).

Atomic structure:
```
HoInNi4
1.0
0.000 3.513 3.513
3.513 0.000 3.513
3.513 3.513 0.000
Ho In Ni
1 1 4
direct
0.000 0.000 0.000
0.250 0.250 0.250
0.127 0.624 0.624
0.624 0.127 0.624
0.624 0.624 0.127
0.624 0.624 0.624
```

Principal peaks in the range 2θ = 10–80°, by angle:
2θ = 21.9°, 4.057 Å, intensity 9
2θ = 25.4°, 3.513 Å, intensity 2
2θ = 36.2°, 2.484 Å, intensity 58
2θ = 42.7°, 2.119 Å, intensity 100
2θ = 44.7°, 2.028 Å, intensity 19
2θ = 57.1°, 1.612 Å, intensity 3
2θ = 58.8°, 1.571 Å, intensity 1
2θ = 65.0°, 1.434 Å, intensity 20
2θ = 69.5°, 1.352 Å, intensity 30
2θ = 76.7°, 1.242 Å, intensity 22